Entry 1:
This entry pairs a crystal structure of LiEuNi with its calculated powder diffractogram. Radiation: Cu Kα (weighted mean of Kα1 and Kα2). Structure: a cell relaxed with GGA-PBE.
Lines closer than 0.1° are merged.

```
data_LiEuNi
_symmetry_space_group_name_H-M 'P -6 m 2'
_symmetry_Int_Tables_number 187
_symmetry_space_group_name_Hall 'P -6 2'
_cell_length_a 4.3270
_cell_length_b 4.3270
_cell_length_c 3.8732
_cell_angle_alpha 90.00
_cell_angle_beta 90.00
_cell_angle_gamma 120.00
loop_
_atom_site_label
_atom_site_type_symbol
_atom_site_fract_x
_atom_site_fract_y
_atom_site_fract_z
Li1 Li 0.0000 0.0000 0.0000
Eu1 Eu 0.3333 0.6667 0.5000
Ni1 Ni 0.6667 0.3333 0.0000
```

Peak list (10 most intense, 5 to 70 degrees two-theta, sorted by position)
2θ (°)	I/Imax	h k l
22.96	7	0 0 1
23.74	50	1 0 0
33.27	100	1 0 1
41.75	35	1 1 0
46.92	8	0 0 2
48.18	6	1 1 1
48.59	7	2 0 0
53.24	11	1 0 2
54.40	24	2 0 1
64.59	19	1 1 2



Entry 2:
This entry pairs a crystal structure of Ho3Tm2Bi2 with its calculated powder diffractogram. Radiation: Cu Kα (weighted mean of Kα1 and Kα2). Structure: a cell relaxed with GGA-PBE.
Lines closer than 0.1° are merged.

```
data_Ho3Tm2Bi2
_symmetry_space_group_name_H-M 'C 1 2/m 1'
_symmetry_Int_Tables_number 12
_cell_length_a 12.0534
_cell_length_b 4.3009
_cell_length_c 8.4773
_cell_angle_alpha 90.00
_cell_angle_beta 107.36
_cell_angle_gamma 90.00
loop_
_symmetry_equiv_pos_as_xyz
'x,y,z'
'-x,-y,-z'
'-x,y,-z'
'x,-y,z'
'x+1/2,y+1/2,z'
'-x+1/2,-y+1/2,-z'
'-x+1/2,y+1/2,-z'
'x+1/2,-y+1/2,z'
loop_
_atom_site_label
_atom_site_type_symbol
_atom_site_fract_x
_atom_site_fract_y
_atom_site_fract_z
Ho1 Ho 0.0000 0.0000 0.0000
Ho2 Ho 0.1266 0.0000 0.4433
Tm1 Tm 0.1176 0.5000 0.7603
Bi1 Bi 0.1793 0.5000 0.1833
```

Peak list (10 most intense, 5 to 70 degrees two-theta, sorted by position)
2θ (°)	I/Imax	h k l
30.73	98	3 1 -1
31.10	16	4 0 0
31.25	27	3 1 0
32.18	37	2 0 -3
32.98	100	1 1 2
34.11	21	3 1 -2
36.13	23	4 0 1
42.01	33	0 2 0
53.89	18	2 2 -3
58.98	14	3 1 -5



Entry 3:
This entry pairs a crystal structure of Ca2SnS4 with its calculated powder diffractogram. Radiation: Cu Kα (weighted mean of Kα1 and Kα2). Structure: a cell relaxed with GGA-PBE.
Lines closer than 0.1° are merged.

```
data_Ca2SnS4
_symmetry_space_group_name_H-M 'P -6 2 m'
_symmetry_Int_Tables_number 189
_symmetry_space_group_name_Hall 'P -6 -2'
_cell_length_a 11.7684
_cell_length_b 11.7684
_cell_length_c 3.9414
_cell_angle_alpha 90.00
_cell_angle_beta 90.00
_cell_angle_gamma 120.00
loop_
_atom_site_label
_atom_site_type_symbol
_atom_site_fract_x
_atom_site_fract_y
_atom_site_fract_z
Ca1 Ca 0.0000 0.0000 0.0000
Ca2 Ca 0.0000 0.2916 0.5000
Ca3 Ca 0.3333 0.6667 0.5000
Sn1 Sn 0.0000 0.6598 0.0000
S1 S 0.0000 0.5242 0.5000
S2 S 0.0000 0.8267 0.5000
S3 S 0.1996 0.4440 0.0000
```

Peak list (10 most intense, 5 to 70 degrees two-theta, sorted by position)
2θ (°)	I/Imax	h k l
15.06	100	1 1 0
26.23	73	3 0 0
27.23	94	1 1 1
31.65	24	3 1 0
32.50	72	2 1 1
38.17	94	2 2 1
46.06	27	0 0 2
46.29	33	3 3 0
46.91	63	4 1 1
52.08	28	3 3 1



Entry 4:
This entry pairs a crystal structure of K4Cd5Bi6 with its calculated powder diffractogram. Radiation: Cu Kα (weighted mean of Kα1 and Kα2). Structure: a cell relaxed with GGA-PBE.
Lines closer than 0.1° are merged.

```
data_K4Cd5Bi6
_symmetry_space_group_name_H-M 'C m c 21'
_symmetry_Int_Tables_number 36
_cell_length_a 4.9598
_cell_length_b 22.2231
_cell_length_c 19.3046
_cell_angle_alpha 90.00
_cell_angle_beta 90.00
_cell_angle_gamma 90.00
loop_
_symmetry_equiv_pos_as_xyz
'x,y,z'
'-x,-y,z+1/2'
'-x,y,z'
'x,-y,z+1/2'
'x+1/2,y+1/2,z'
'-x+1/2,-y+1/2,z+1/2'
'-x+1/2,y+1/2,z'
'x+1/2,-y+1/2,z+1/2'
loop_
_atom_site_label
_atom_site_type_symbol
_atom_site_fract_x
_atom_site_fract_y
_atom_site_fract_z
K1 K 0.0000 0.0072 0.0000
K2 K 0.0000 0.0186 0.2638
K3 K 0.0000 0.1782 0.4535
K4 K 0.0000 0.1799 0.8151
Cd1 Cd 0.0000 0.1346 0.1349
Cd2 Cd 0.0000 0.2865 0.1387
Cd3 Cd 0.0000 0.3608 0.5067
Cd4 Cd 0.0000 0.3639 0.7513
Cd5 Cd 0.0000 0.4162 0.2058
Bi1 Bi 0.0000 0.1234 0.6296
Bi2 Bi 0.0000 0.2106 0.2670
Bi3 Bi 0.0000 0.2132 0.0061
Bi4 Bi 0.0000 0.4318 0.8870
Bi5 Bi 0.0000 0.4361 0.3662
Bi6 Bi 0.0000 0.4522 0.6289
```

Peak list (10 most intense, 5 to 70 degrees two-theta, sorted by position)
2θ (°)	I/Imax	h k l
9.17	39	0 0 2
18.35	39	1 1 0
20.06	52	0 2 4
22.05	50	1 3 1
28.50	55	1 5 2
32.81	40	1 5 4
33.46	39	1 1 6
36.22	60	2 0 0
38.49	100	1 7 4
39.31	43	1 3 7



Entry 5:
This entry pairs a crystal structure of Pm2PrSbN4 with its calculated powder diffractogram. Radiation: Cu Kα (weighted mean of Kα1 and Kα2). Structure: a cell relaxed with GGA-PBE.
Lines closer than 0.1° are merged.

```
data_Pm2PrSbN4
_symmetry_space_group_name_H-M 'C m c m'
_symmetry_Int_Tables_number 63
_symmetry_space_group_name_Hall '-C 2c 2'
_cell_length_a 3.7148
_cell_length_b 12.0544
_cell_length_c 12.2808
_cell_angle_alpha 90.00
_cell_angle_beta 90.00
_cell_angle_gamma 90.00
loop_
_atom_site_label
_atom_site_type_symbol
_atom_site_fract_x
_atom_site_fract_y
_atom_site_fract_z
Pm1 Pm 0.0000 0.1287 0.0371
Pr1 Pr 0.0000 0.3901 0.2500
Sb1 Sb 0.0000 0.3472 0.7500
N1 N 0.0000 0.0626 0.2500
N2 N 0.0000 0.2235 0.6307
N3 N 0.0000 0.5000 0.0000
```

Peak list (10 most intense, 5 to 70 degrees two-theta, sorted by position)
2θ (°)	I/Imax	h k l
26.32	16	0 2 3
29.06	100	0 0 4
29.64	35	0 4 0
33.66	12	1 3 1
36.03	57	1 3 2
42.01	19	0 4 4
47.32	14	1 5 2
49.05	14	2 0 0
49.97	10	1 3 5
58.36	11	2 4 0



Entry 6:
This entry pairs a crystal structure of AcLa2PmTm with its calculated powder diffractogram. Radiation: Cu Kα (weighted mean of Kα1 and Kα2). Structure: a cell relaxed with GGA-PBE.
Lines closer than 0.1° are merged.

```
data_AcLa2PmTm
_symmetry_space_group_name_H-M 'C m c m'
_symmetry_Int_Tables_number 63
_symmetry_space_group_name_Hall '-C 2c 2'
_cell_length_a 8.2101
_cell_length_b 12.2498
_cell_length_c 7.6140
_cell_angle_alpha 90.00
_cell_angle_beta 90.00
_cell_angle_gamma 90.00
loop_
_atom_site_label
_atom_site_type_symbol
_atom_site_fract_x
_atom_site_fract_y
_atom_site_fract_z
Ac1 Ac 0.0000 0.2418 0.2500
La1 La 0.2026 0.5000 0.0000
Pm1 Pm 0.0000 0.0597 0.7500
Tm1 Tm 0.0000 0.3072 0.7500
```

Peak list (10 most intense, 5 to 70 degrees two-theta, sorted by position)
2θ (°)	I/Imax	h k l
21.65	22	2 0 0
26.13	63	2 2 0
27.05	39	1 3 1
27.59	66	0 2 2
29.16	30	0 4 0
31.49	23	0 4 1
32.06	100	2 0 2
38.54	27	2 4 1
43.89	33	2 4 2
55.25	26	2 2 4



Entry 7:
This entry pairs a crystal structure of BC2 with its calculated powder diffractogram. Radiation: Cu Kα (weighted mean of Kα1 and Kα2). Structure: a cell relaxed with GGA-PBE.
Lines closer than 0.1° are merged.

```
data_BC2
_symmetry_space_group_name_H-M 'P 3 m 1'
_symmetry_Int_Tables_number 156
_cell_length_a 2.5742
_cell_length_b 2.5742
_cell_length_c 13.2600
_cell_angle_alpha 90.00
_cell_angle_beta 90.00
_cell_angle_gamma 120.00
loop_
_symmetry_equiv_pos_as_xyz
'x,y,z'
'-y,x-y,z'
'-x+y,-x,z'
'-y,-x,z'
'-x+y,y,z'
'x,x-y,z'
loop_
_atom_site_label
_atom_site_type_symbol
_atom_site_fract_x
_atom_site_fract_y
_atom_site_fract_z
B1 B 0.0000 0.0000 0.0000
B2 B 0.0000 0.0000 0.4760
B3 B 0.3333 0.6667 0.7652
B4 B 0.6667 0.3333 0.9212
C1 C 0.0000 0.0000 0.1197
C2 C 0.0000 0.0000 0.6036
C3 C 0.3333 0.6667 0.1589
C4 C 0.3333 0.6667 0.2755
C5 C 0.3333 0.6667 0.6334
C6 C 0.6667 0.3333 0.3155
C7 C 0.6667 0.3333 0.4300
C8 C 0.6667 0.3333 0.8061
```

Peak list (10 most intense, 5 to 70 degrees two-theta, sorted by position)
2θ (°)	I/Imax	h k l
6.67	42	0 0 1
13.35	12	0 0 2
26.90	3	0 0 4
33.80	1	0 0 5
40.83	30	0 0 6
42.79	100	0 1 2
45.57	2	0 1 3
48.03	3	0 0 7
55.43	1	0 0 8
64.56	1	0 1 7



Entry 8:
This entry pairs a crystal structure of BaPaSnO6 with its calculated powder diffractogram. Radiation: Cu Kα (weighted mean of Kα1 and Kα2). Structure: a cell relaxed with GGA-PBE.
Lines closer than 0.1° are merged.

```
data_BaPaSnO6
_symmetry_space_group_name_H-M 'P -3 1 c'
_symmetry_Int_Tables_number 163
_symmetry_space_group_name_Hall '-P 3 2c'
_cell_length_a 5.7126
_cell_length_b 5.7126
_cell_length_c 11.5435
_cell_angle_alpha 90.00
_cell_angle_beta 90.00
_cell_angle_gamma 120.00
loop_
_atom_site_label
_atom_site_type_symbol
_atom_site_fract_x
_atom_site_fract_y
_atom_site_fract_z
Ba1 Ba 0.0000 0.0000 0.0000
Pa1 Pa 0.3333 0.6667 0.2500
Sn1 Sn 0.3333 0.6667 0.7500
O1 O 0.0090 0.3793 0.6497
```

Peak list (10 most intense, 5 to 70 degrees two-theta, sorted by position)
2θ (°)	I/Imax	h k l
15.35	29	0 0 2
23.69	100	1 0 2
30.99	14	0 0 4
31.32	48	1 1 0
35.05	18	1 1 2
39.64	24	2 0 2
44.64	52	1 1 4
51.36	25	2 1 2
55.74	15	3 0 0
65.15	12	3 0 4



Entry 9:
This entry pairs a crystal structure of Rb2UPdS5 with its calculated powder diffractogram. Radiation: Cu Kα (weighted mean of Kα1 and Kα2). Structure: a cell relaxed with GGA-PBE.
Lines closer than 0.1° are merged.

```
data_Rb2UPdS5
_symmetry_space_group_name_H-M 'C m c 21'
_symmetry_Int_Tables_number 36
_cell_length_a 4.1557
_cell_length_b 20.1695
_cell_length_c 13.4966
_cell_angle_alpha 90.00
_cell_angle_beta 90.00
_cell_angle_gamma 90.00
loop_
_symmetry_equiv_pos_as_xyz
'x,y,z'
'-x,-y,z+1/2'
'-x,y,z'
'x,-y,z+1/2'
'x+1/2,y+1/2,z'
'-x+1/2,-y+1/2,z+1/2'
'-x+1/2,y+1/2,z'
'x+1/2,-y+1/2,z+1/2'
loop_
_atom_site_label
_atom_site_type_symbol
_atom_site_fract_x
_atom_site_fract_y
_atom_site_fract_z
Rb1 Rb 0.0000 0.0678 0.0000
Rb2 Rb 0.0000 0.1281 0.6877
U1 U 0.0000 0.2034 0.3721
Pd1 Pd 0.0000 0.4046 0.7474
S1 S 0.0000 0.0771 0.3187
S2 S 0.0000 0.2870 0.7517
S3 S 0.0000 0.3149 0.9916
S4 S 0.0000 0.3244 0.3823
S5 S 0.0000 0.4970 0.1637
```

Peak list (10 most intense, 5 to 70 degrees two-theta, sorted by position)
2θ (°)	I/Imax	h k l
8.77	28	0 2 0
10.95	63	0 2 1
13.12	51	0 0 2
15.80	63	0 2 2
18.79	45	0 4 1
21.63	30	0 2 3
26.06	47	1 3 1
29.60	100	1 1 3
33.69	26	1 5 2
40.08	29	0 0 6



Entry 10:
This entry pairs a crystal structure of Pr3Tl2 with its calculated powder diffractogram. Radiation: Cu Kα (weighted mean of Kα1 and Kα2). Structure: a cell relaxed with GGA-PBE.
Lines closer than 0.1° are merged.

```
data_Pr3Tl2
_symmetry_space_group_name_H-M 'P n m a'
_symmetry_Int_Tables_number 62
_cell_length_a 12.7642
_cell_length_b 5.4810
_cell_length_c 9.5142
_cell_angle_alpha 90.00
_cell_angle_beta 90.00
_cell_angle_gamma 90.00
loop_
_symmetry_equiv_pos_as_xyz
'x,y,z'
'-x,-y,-z'
'-x+1/2,-y,z+1/2'
'x+1/2,y,-z+1/2'
'x+1/2,-y+1/2,-z+1/2'
'-x+1/2,y+1/2,z+1/2'
'-x,y+1/2,-z'
'x,-y+1/2,z'
loop_
_atom_site_label
_atom_site_type_symbol
_atom_site_fract_x
_atom_site_fract_y
_atom_site_fract_z
Pr1 Pr 0.0862 0.2500 0.0835
Pr2 Pr 0.0866 0.7500 0.5831
Pr3 Pr 0.2501 0.2500 0.7507
Tl1 Tl 0.0001 0.2500 0.7498
Tl2 Tl 0.2494 0.7500 0.9175
```

Peak list (10 most intense, 5 to 70 degrees two-theta, sorted by position)
2θ (°)	I/Imax	h k l
28.15	75	3 1 1
32.64	100	0 2 0
33.84	28	4 1 1
43.50	20	4 2 0
43.63	23	3 2 2
54.59	12	6 2 0
55.54	23	3 3 1
58.19	12	0 0 6
58.28	13	0 3 3
68.35	14	0 2 6



Please write out number 2 again, unchanged.
This entry pairs a crystal structure of Ho3Tm2Bi2 with its calculated powder diffractogram. Radiation: Cu Kα (weighted mean of Kα1 and Kα2). Structure: a cell relaxed with GGA-PBE.
Lines closer than 0.1° are merged.

```
data_Ho3Tm2Bi2
_symmetry_space_group_name_H-M 'C 1 2/m 1'
_symmetry_Int_Tables_number 12
_cell_length_a 12.0534
_cell_length_b 4.3009
_cell_length_c 8.4773
_cell_angle_alpha 90.00
_cell_angle_beta 107.36
_cell_angle_gamma 90.00
loop_
_symmetry_equiv_pos_as_xyz
'x,y,z'
'-x,-y,-z'
'-x,y,-z'
'x,-y,z'
'x+1/2,y+1/2,z'
'-x+1/2,-y+1/2,-z'
'-x+1/2,y+1/2,-z'
'x+1/2,-y+1/2,z'
loop_
_atom_site_label
_atom_site_type_symbol
_atom_site_fract_x
_atom_site_fract_y
_atom_site_fract_z
Ho1 Ho 0.0000 0.0000 0.0000
Ho2 Ho 0.1266 0.0000 0.4433
Tm1 Tm 0.1176 0.5000 0.7603
Bi1 Bi 0.1793 0.5000 0.1833
```

Peak list (10 most intense, 5 to 70 degrees two-theta, sorted by position)
2θ (°)	I/Imax	h k l
30.73	98	3 1 -1
31.10	16	4 0 0
31.25	27	3 1 0
32.18	37	2 0 -3
32.98	100	1 1 2
34.11	21	3 1 -2
36.13	23	4 0 1
42.01	33	0 2 0
53.89	18	2 2 -3
58.98	14	3 1 -5



Please write out number 9 again, unchanged.
This entry pairs a crystal structure of Rb2UPdS5 with its calculated powder diffractogram. Radiation: Cu Kα (weighted mean of Kα1 and Kα2). Structure: a cell relaxed with GGA-PBE.
Lines closer than 0.1° are merged.

```
data_Rb2UPdS5
_symmetry_space_group_name_H-M 'C m c 21'
_symmetry_Int_Tables_number 36
_cell_length_a 4.1557
_cell_length_b 20.1695
_cell_length_c 13.4966
_cell_angle_alpha 90.00
_cell_angle_beta 90.00
_cell_angle_gamma 90.00
loop_
_symmetry_equiv_pos_as_xyz
'x,y,z'
'-x,-y,z+1/2'
'-x,y,z'
'x,-y,z+1/2'
'x+1/2,y+1/2,z'
'-x+1/2,-y+1/2,z+1/2'
'-x+1/2,y+1/2,z'
'x+1/2,-y+1/2,z+1/2'
loop_
_atom_site_label
_atom_site_type_symbol
_atom_site_fract_x
_atom_site_fract_y
_atom_site_fract_z
Rb1 Rb 0.0000 0.0678 0.0000
Rb2 Rb 0.0000 0.1281 0.6877
U1 U 0.0000 0.2034 0.3721
Pd1 Pd 0.0000 0.4046 0.7474
S1 S 0.0000 0.0771 0.3187
S2 S 0.0000 0.2870 0.7517
S3 S 0.0000 0.3149 0.9916
S4 S 0.0000 0.3244 0.3823
S5 S 0.0000 0.4970 0.1637
```

Peak list (10 most intense, 5 to 70 degrees two-theta, sorted by position)
2θ (°)	I/Imax	h k l
8.77	28	0 2 0
10.95	63	0 2 1
13.12	51	0 0 2
15.80	63	0 2 2
18.79	45	0 4 1
21.63	30	0 2 3
26.06	47	1 3 1
29.60	100	1 1 3
33.69	26	1 5 2
40.08	29	0 0 6